1.
# BaPuBeS4
Simulated powder X-ray diffraction pattern, Cu Kα, 1.54184 Å. Input: a structure optimized by DFT (GGA-PBE).
Peak positions follow from Bragg's law for the DFT cell and can differ from measured ones.

Main lines, low angle first (2θ from 5° to 70°):
2θ = 10.98°, intensity 32
2θ = 20.54°, intensity 100
2θ = 26.46°, intensity 23
2θ = 28.05°, intensity 32
2θ = 33.78°, intensity 31
2θ = 34.44°, intensity 25
2θ = 35.97°, intensity 27
2θ = 36.18°, intensity 26
2θ = 41.77°, intensity 25
2θ = 42.54°, intensity 22

Unit cell a=6.2241 b=6.3613 c=8.5051 alpha=90.00 beta=108.67 gamma=90.00
Element x y z (fractional)
Ba1 0.2376 0.2500 0.4349
Ba2 0.7624 0.7500 0.5651
Pu1 0.2677 0.2500 0.9444
Pu2 0.7323 0.7500 0.0556
Be1 0.2783 0.7500 0.1760
Be2 0.7217 0.2500 0.8240
S1 0.0735 0.7500 0.9293
S2 0.0943 0.7500 0.3448
S3 0.4928 0.5033 0.7840
S4 0.4928 0.9967 0.7840
S5 0.5072 0.0033 0.2160
S6 0.5072 0.4967 0.2160
S7 0.9057 0.2500 0.6552
S8 0.9265 0.2500 0.0707



2.
# LaCu8Au3
Simulated powder X-ray diffraction pattern, Cu Kα, 1.54184 Å. Input: a structure optimized by DFT (GGA-PBE).
Peak positions follow from Bragg's law for the DFT cell and can differ from measured ones.

Main lines, low angle first (2θ from 5° to 70°):
2θ = 20.35°, intensity 14
2θ = 23.03°, intensity 14
2θ = 29.75°, intensity 13
2θ = 35.63°, intensity 67
2θ = 38.60°, intensity 100
2θ = 41.37°, intensity 16
2θ = 41.97°, intensity 95
2θ = 42.85°, intensity 56
2θ = 65.97°, intensity 40
2θ = 68.34°, intensity 22

Unit cell a=5.0402 b=5.0402 c=8.2785 alpha=90.00 beta=90.00 gamma=120.00
Element x y z (fractional)
La1 0.0000 0.0000 0.0000
Cu1 0.1664 0.3328 0.6764
Cu2 0.1664 0.8336 0.6764
Cu3 0.3333 0.6667 0.4348
Cu4 0.3333 0.6667 0.9335
Cu5 0.5022 0.0043 0.2002
Cu6 0.5022 0.4978 0.2002
Cu7 0.6672 0.8336 0.6764
Cu8 0.9957 0.4978 0.2002
Au1 0.0000 0.0000 0.3840
Au2 0.6667 0.3333 0.4945
Au3 0.6667 0.3333 0.8521



3.
# Cd5SnHg7
Simulated powder X-ray diffraction pattern, Cu Kα, 1.54184 Å. Input: a structure optimized by DFT (GGA-PBE).
Peak positions follow from Bragg's law for the DFT cell and can differ from measured ones.

Main lines, low angle first (2θ from 5° to 70°):
2θ = 27.26°, intensity 18
2θ = 29.15°, intensity 59
2θ = 33.78°, intensity 31
2θ = 34.04°, intensity 100
2θ = 34.78°, intensity 25
2θ = 38.15°, intensity 56
2θ = 38.82°, intensity 28
2θ = 54.88°, intensity 24
2θ = 60.44°, intensity 28
2θ = 61.88°, intensity 26

Unit cell a=8.0106 b=8.0106 c=8.0106 alpha=135.06 beta=96.97 gamma=99.83
Element x y z (fractional)
Cd1 0.0000 0.0000 0.0000
Cd2 0.2305 0.2395 0.4989
Cd3 0.2305 0.7316 0.9910
Cd4 0.7406 0.2395 0.0090
Cd5 0.7406 0.7316 0.5011
Sn1 0.3939 0.8939 0.5000
Hg1 0.0462 0.2342 0.8120
Hg2 0.1035 0.6035 0.5000
Hg3 0.4223 0.2342 0.1880
Hg4 0.4693 0.4693 0.0000
Hg5 0.5801 0.7371 0.8430
Hg6 0.7263 0.2263 0.5000
Hg7 0.8942 0.7371 0.1570



4.
# LaTb3Tm6
Simulated powder X-ray diffraction pattern, Cu Kα, 1.54184 Å. Input: a structure optimized by DFT (GGA-PBE).
Peak positions follow from Bragg's law for the DFT cell and can differ from measured ones.

Main lines, low angle first (2θ from 5° to 70°):
2θ = 29.51°, intensity 70
2θ = 31.66°, intensity 100
2θ = 32.76°, intensity 13
2θ = 37.69°, intensity 9
2θ = 42.12°, intensity 13
2θ = 43.83°, intensity 24
2θ = 55.07°, intensity 24
2θ = 56.39°, intensity 20
2θ = 57.96°, intensity 14
2θ = 66.12°, intensity 12

Unit cell a=6.8395 b=6.8395 c=6.8395 alpha=91.41 beta=91.41 gamma=91.41
Element x y z (fractional)
La1 0.0000 0.0000 0.0000
Tb1 0.2534 0.2534 0.2534
Tb2 0.5003 0.5003 0.5003
Tb3 0.7479 0.7479 0.7479
Tm1 0.1709 0.8275 0.4990
Tm2 0.3339 0.6647 0.9990
Tm3 0.4990 0.1709 0.8275
Tm4 0.6647 0.9990 0.3339
Tm5 0.8275 0.4990 0.1709
Tm6 0.9990 0.3339 0.6647



5.
# La5Ag2Sn
Simulated powder X-ray diffraction pattern, Cu Kα, 1.54184 Å. Input: a structure optimized by DFT (GGA-PBE).
Peak positions follow from Bragg's law for the DFT cell and can differ from measured ones.

Main lines, low angle first (2θ from 5° to 70°):
2θ = 29.54°, intensity 11
2θ = 30.05°, intensity 13
2θ = 30.52°, intensity 100
2θ = 33.12°, intensity 57
2θ = 33.58°, intensity 23
2θ = 39.59°, intensity 9
2θ = 48.21°, intensity 11
2θ = 52.54°, intensity 9
2θ = 52.71°, intensity 15
2θ = 61.87°, intensity 16

Unit cell a=9.1224 b=9.1224 c=9.1224 alpha=124.09 beta=124.09 gamma=83.06
Element x y z (fractional)
La1 0.0000 0.0000 0.0000
La2 0.0098 0.5098 0.8189
La3 0.1908 0.0098 0.5000
La4 0.3092 0.8092 0.8189
La5 0.4902 0.3092 0.5000
La6 0.5000 0.5000 0.0000
La7 0.5098 0.6908 0.5000
La8 0.6908 0.1908 0.1811
La9 0.8092 0.9902 0.5000
La10 0.9902 0.4902 0.1811
Ag1 0.1293 0.3707 0.5000
Ag2 0.3707 0.8707 0.2414
Ag3 0.6293 0.1293 0.7586
Ag4 0.8707 0.6293 0.5000
Sn1 0.2500 0.2500 0.0000
Sn2 0.7500 0.7500 0.0000



6.
# Y2Tl3Cu
Simulated powder X-ray diffraction pattern, Cu Kα, 1.54184 Å. Input: a structure optimized by DFT (GGA-PBE).
Peak positions follow from Bragg's law for the DFT cell and can differ from measured ones.

Main lines, low angle first (2θ from 5° to 70°):
2θ = 24.49°, intensity 42
2θ = 32.35°, intensity 43
2θ = 32.53°, intensity 100
2θ = 36.63°, intensity 80
2θ = 37.12°, intensity 44
2θ = 44.55°, intensity 29
2θ = 50.05°, intensity 25
2θ = 50.19°, intensity 19
2θ = 63.72°, intensity 32
2θ = 64.04°, intensity 32

Unit cell a=3.6352 b=4.8440 c=8.5369 alpha=90.00 beta=90.00 gamma=90.00
Element x y z (fractional)
Y1 0.0000 0.0000 0.0000
Y2 0.0000 0.5000 0.4764
Tl1 0.5000 0.0000 0.6207
Tl2 0.5000 0.5000 0.1732
Tl3 0.5000 0.5000 0.8239
Cu1 0.5000 0.0000 0.3064



7.
# Na6SbCl12
Simulated powder X-ray diffraction pattern, Cu Kα, 1.54184 Å. Input: a structure optimized by DFT (GGA-PBE).
Peak positions follow from Bragg's law for the DFT cell and can differ from measured ones.

Main lines, low angle first (2θ from 5° to 70°):
2θ = 10.84°, intensity 87
2θ = 15.96°, intensity 89
2θ = 18.34°, intensity 59
2θ = 21.79°, intensity 34
2θ = 23.61°, intensity 100
2θ = 33.92°, intensity 47
2θ = 35.61°, intensity 89
2θ = 39.68°, intensity 60
2θ = 46.72°, intensity 35
2θ = 49.26°, intensity 45

Unit cell a=8.2052 b=8.2052 c=8.2052 alpha=94.18 beta=94.18 gamma=94.18
Element x y z (fractional)
Na1 0.1356 0.8611 0.6648
Na2 0.1389 0.3352 0.8644
Na3 0.3352 0.8644 0.1389
Na4 0.6648 0.1356 0.8611
Na5 0.8611 0.6648 0.1356
Na6 0.8644 0.1389 0.3352
Sb1 0.5000 0.5000 0.5000
Cl1 0.0766 0.8904 0.3318
Cl2 0.1096 0.6682 0.9234
Cl3 0.2099 0.4457 0.5247
Cl4 0.3318 0.0766 0.8904
Cl5 0.4457 0.5247 0.2099
Cl6 0.4753 0.7901 0.5543
Cl7 0.5247 0.2099 0.4457
Cl8 0.5543 0.4753 0.7901
Cl9 0.6682 0.9234 0.1096
Cl10 0.7901 0.5543 0.4753
Cl11 0.8904 0.3318 0.0766
Cl12 0.9234 0.1096 0.6682



8.
# Ba6Sr3Zn
Simulated powder X-ray diffraction pattern, Cu Kα, 1.54184 Å. Input: a structure optimized by DFT (GGA-PBE).
Peak positions follow from Bragg's law for the DFT cell and can differ from measured ones.

Main lines, low angle first (2θ from 5° to 70°):
2θ = 23.80°, intensity 62
2θ = 24.72°, intensity 43
2θ = 26.01°, intensity 60
2θ = 26.14°, intensity 78
2θ = 26.65°, intensity 51
2θ = 26.89°, intensity 52
2θ = 27.01°, intensity 46
2θ = 27.49°, intensity 100
2θ = 28.92°, intensity 41
2θ = 41.93°, intensity 37

Unit cell a=15.4130 b=4.3095 c=17.3891 alpha=90.00 beta=105.89 gamma=90.00
Element x y z (fractional)
Ba1 0.1031 0.2500 0.3268
Ba2 0.1260 0.7500 0.5754
Ba3 0.2065 0.2500 0.1044
Ba4 0.2432 0.7500 0.8894
Ba5 0.3458 0.2500 0.7325
Ba6 0.3828 0.7500 0.2946
Ba7 0.6172 0.2500 0.7054
Ba8 0.6542 0.7500 0.2675
Ba9 0.7568 0.2500 0.1106
Ba10 0.7935 0.7500 0.8956
Ba11 0.8740 0.2500 0.4246
Ba12 0.8969 0.7500 0.6732
Sr1 0.0174 0.2500 0.8910
Sr2 0.3749 0.2500 0.5069
Sr3 0.4595 0.2500 0.0875
Sr4 0.5405 0.7500 0.9125
Sr5 0.6251 0.7500 0.4931
Sr6 0.9826 0.7500 0.1090
Zn1 0.1052 0.2500 0.7320
Zn2 0.8948 0.7500 0.2680